Starting from a structure optimized by DFT (GGA-PBE), the powder X-ray diffraction pattern of CeCdGe4 was simulated for Cu Kα (λ = 1.5418 Å).
Lines closer than 0.1° are merged.

Most intense lines, 15 to 90 degrees two-theta, most intense first:
2theta, I (rel.)
37.46, 100
31.78, 46
60.40, 32
66.41, 25
39.19, 25
56.63, 17
78.82, 11
79.91, 9

Atomic structure:
abc: 5.6307 5.6307 5.6307
angles: 60.00 60.00 60.00
Sites, in units of the cell vectors:
Ce: 0.0000 0.0000 0.0000
Cd: 0.7500 0.7500 0.7500
Ge: 0.3746 0.3746 0.3746
Ge: 0.3746 0.3746 0.8763
Ge: 0.3746 0.8763 0.3746
Ge: 0.8763 0.3746 0.3746